Diffraction record for HfSnAu. The powder XRD pattern is theoretical, not measured: it uses a GGA-PBE-relaxed structure and Cu Kα.
Lines closer than 0.1° are merged.

Structure:
Lattice parameters (Å, degrees): 4.3172 4.3172 6.8945 90.00 90.00 90.00
Space group P4/nmm (No. 129, origin choice 2)
Symmetry-distinct sites (fractional):
Hf 0.2500 0.2500 0.2011 x2
Sn 0.2500 0.2500 0.7883 x2
Au 0.2500 0.7500 0.5000 x2

Peak list (8 most intense, 2θ = 5–70°, in order of falling intensity)
39.43 deg, 2.285 Å, intensity 100.0, (1 1 2); 32.07 deg, 2.791 Å, intensity 67.4, (1 1 1); 41.85 deg, 2.159 Å, intensity 51.5, (2 0 0); 58.68 deg, 1.573 Å, intensity 27.5, (2 0 3); 12.84 deg, 6.895 Å, intensity 23.3, (0 0 1); 39.20 deg, 2.298 Å, intensity 22.0, (0 0 3); 60.67 deg, 1.526 Å, intensity 17.5, (2 2 0); 69.83 deg, 1.347 Å, intensity 10.1, (2 0 4)

Diffraction record for AcMgSnPb. The powder XRD pattern is theoretical, not measured: it uses a GGA-PBE-relaxed structure and Cu Kα.
Lines closer than 0.1° are merged.

Structure:
Lattice parameters (Å, degrees): 4.7780 4.9927 5.0419 90.00 90.00 90.00
Space group Pmmm (No. 47)
Symmetry-distinct sites (fractional):
Ac 0.0000 0.0000 0.0000 x1
Mg 0.0000 0.5000 0.5000 x1
Sn 0.5000 0.5000 0.0000 x1
Pb 0.5000 0.0000 0.5000 x1

Peak list (8 most intense, 2θ = 5–70°, in order of falling intensity)
31.41 deg, 2.848 Å, intensity 100.0, (1 1 1); 17.77 deg, 4.993 Å, intensity 22.5, (0 1 0); 25.69 deg, 3.468 Å, intensity 19.2, (1 0 1); 35.61 deg, 2.521 Å, intensity 18.0, (0 0 2); 35.98 deg, 2.496 Å, intensity 17.5, (0 2 0); 37.65 deg, 2.389 Å, intensity 15.5, (2 0 0); 61.35 deg, 1.511 Å, intensity 15.4, (1 1 3); 61.84 deg, 1.500 Å, intensity 15.0, (1 3 1)

Diffraction record for PrLu3S6. The powder XRD pattern is theoretical, not measured: it uses a GGA-PBE-relaxed structure and Cu Kα.
Lines closer than 0.1° are merged.

Structure:
Lattice parameters (Å, degrees): 10.9520 3.9378 11.2056 90.00 108.97 90.00
Space group P2_1/m (No. 11)
Symmetry-distinct sites (fractional):
Pr 0.0505 0.2500 0.1968 x2
Lu 0.1611 0.2500 0.5881 x2
Lu 0.3207 0.7500 0.9993 x2
Lu 0.4438 0.2500 0.3335 x2
S 0.0820 0.7500 0.4090 x2
S 0.1214 0.2500 0.9641 x2
S 0.1995 0.7500 0.7488 x2
S 0.2692 0.7500 0.2296 x2
S 0.3931 0.2500 0.5572 x2
S 0.4776 0.2500 0.1115 x2

Peak list (8 most intense, 2θ = 5–70°, in order of falling intensity)
24.38 deg, 3.651 Å, intensity 100.0, (3 0 -1); 23.83 deg, 3.735 Å, intensity 76.1, (1 0 -3); 42.67 deg, 2.119 Å, intensity 73.2, (4 1 -3); 26.54 deg, 3.359 Å, intensity 68.6, (1 1 1); 31.31 deg, 2.857 Å, intensity 68.1, (2 1 1); 27.87 deg, 3.201 Å, intensity 50.9, (1 1 -2); 34.55 deg, 2.596 Å, intensity 48.3, (3 1 0); 46.09 deg, 1.969 Å, intensity 47.8, (0 2 0)

Diffraction record for La4SeS2Cl. The powder XRD pattern is theoretical, not measured: it uses a GGA-PBE-relaxed structure and Cu Kα.
Lines closer than 0.1° are merged.

Structure:
Lattice parameters (Å, degrees): 5.9381 5.9381 11.8451 90.00 90.00 90.00
Space group I4/mmm (No. 139)
Symmetry-distinct sites (fractional):
La 0.0000 0.0000 0.2497 x4
La 0.0000 0.5000 0.0000 x4
Se 0.0000 0.0000 0.0000 x2
S 0.0000 0.5000 0.2500 x4
Cl 0.0000 0.0000 0.5000 x2

Peak list (8 most intense, 2θ = 5–70°, in order of falling intensity)
30.13 deg, 2.966 Å, intensity 100.0, (2 0 0); 43.13 deg, 2.098 Å, intensity 73.3, (2 2 0); 26.01 deg, 3.425 Å, intensity 47.0, (1 1 2); 53.50 deg, 1.713 Å, intensity 25.6, (2 2 4); 51.02 deg, 1.790 Å, intensity 15.9, (3 1 2); 69.00 deg, 1.361 Å, intensity 9.7, (3 3 2); 62.57 deg, 1.485 Å, intensity 7.9, (4 0 0); 51.13 deg, 1.787 Å, intensity 7.9, (1 1 6)